LiSi23: computed XRD peak list (copper Kα), based on DFT lattice parameters and positions (PBE).
No peak broadening, texture or thermal motion is included.

Principal peaks in the range 10 to 90 degrees two-theta, by angle:
| 2θ (°) | d_spacing | I/Imax | index |
| --- | --- | --- | --- |
| 19.4 | 4.570 | 100 | 2 1 0 |
| 21.3 | 4.172 | 61 | 2 1 1 |
| 30.3 | 2.950 | 30 | 2 2 2 |
| 31.6 | 2.834 | 24 | 3 2 0 |
| 32.8 | 2.731 | 90 | 3 2 1 |
| 36.2 | 2.478 | 34 | 4 1 0 |
| 40.5 | 2.230 | 31 | 4 2 1 |
| 52.2 | 1.752 | 81 | 5 3 0 |
| 53.0 | 1.727 | 28 | 5 3 1 |
| 55.4 | 1.658 | 46 | 5 3 2 |

a = 10.2183 Å, b = 10.2183 Å, c = 10.2183 Å
α = 90.00°, β = 90.00°, γ = 90.00°
Fractional positions:
Li1 0.0000 0.0000 0.0000
Li2 0.5000 0.5000 0.5000
Si1 0.0000 0.1168 0.3082
Si2 0.0000 0.1168 0.6918
Si3 0.0000 0.2500 0.5000
Si4 0.0000 0.7500 0.5000
Si5 0.0000 0.8832 0.3082
Si6 0.0000 0.8832 0.6918
Si7 0.1168 0.3082 0.0000
Si8 0.1168 0.6918 0.0000
Si9 0.1831 0.1831 0.1831
Si10 0.1831 0.1831 0.8169
Si11 0.1831 0.8169 0.1831
Si12 0.1831 0.8169 0.8169
Si13 0.1918 0.3832 0.5000
Si14 0.1918 0.6168 0.5000
Si15 0.2500 0.5000 0.0000
Si16 0.3082 0.0000 0.1168
Si17 0.3082 0.0000 0.8832
Si18 0.3169 0.3169 0.3169
Si19 0.3169 0.3169 0.6831
Si20 0.3169 0.6831 0.3169
Si21 0.3169 0.6831 0.6831
Si22 0.3832 0.5000 0.1918
Si23 0.3832 0.5000 0.8082
Si24 0.5000 0.0000 0.2500
Si25 0.5000 0.0000 0.7500
Si26 0.5000 0.1918 0.3832
Si27 0.5000 0.1918 0.6168
Si28 0.5000 0.8082 0.3832
Si29 0.5000 0.8082 0.6168
Si30 0.6168 0.5000 0.1918
Si31 0.6168 0.5000 0.8082
Si32 0.6831 0.3169 0.3169
Si33 0.6831 0.3169 0.6831
Si34 0.6831 0.6831 0.3169
Si35 0.6831 0.6831 0.6831
Si36 0.6918 0.0000 0.1168
Si37 0.6918 0.0000 0.8832
Si38 0.7500 0.5000 0.0000
Si39 0.8082 0.3832 0.5000
Si40 0.8082 0.6168 0.5000
Si41 0.8169 0.1831 0.1831
Si42 0.8169 0.1831 0.8169
Si43 0.8169 0.8169 0.1831
Si44 0.8169 0.8169 0.8169
Si45 0.8832 0.3082 0.0000
Si46 0.8832 0.6918 0.0000



Pr2AlGa6: computed XRD peak list (copper Kα), based on DFT lattice parameters and positions (PBE).
No peak broadening, texture or thermal motion is included.

Principal peaks in the range 10 to 90 degrees two-theta, by angle:
| 2θ (°) | d_spacing | I/Imax | index |
| --- | --- | --- | --- |
| 22.9 | 3.887 | 14 | 0 1 1 |
| 33.4 | 2.685 | 36 | 1 1 1 |
| 34.1 | 2.626 | 26 | 2 0 0 |
| 35.5 | 2.532 | 59 | 1 0 2 |
| 37.6 | 2.391 | 100 | 0 2 1 |
| 56.2 | 1.636 | 21 | 2 1 2 |
| 56.6 | 1.626 | 16 | 1 1 3 |
| 61.1 | 1.516 | 23 | 2 2 0 |
| 67.8 | 1.382 | 13 | 2 1 3 |
| 72.7 | 1.301 | 13 | 1 3 2 |

a = 6.0638 Å, b = 6.0638 Å, c = 5.7801 Å
α = 90.00°, β = 90.00°, γ = 120.00°
Fractional positions:
Pr1 0.3333 0.6667 0.3508
Pr2 0.6667 0.3333 0.6492
Al1 0.0000 0.0000 0.5000
Ga1 0.1783 0.3566 0.8349
Ga2 0.1783 0.8217 0.8349
Ga3 0.3566 0.1783 0.1651
Ga4 0.6434 0.8217 0.8349
Ga5 0.8217 0.1783 0.1651
Ga6 0.8217 0.6434 0.1651



Ca2GaGePd6: computed XRD peak list (copper Kα), based on DFT lattice parameters and positions (PBE).
No peak broadening, texture or thermal motion is included.

Principal peaks in the range 10 to 90 degrees two-theta, by angle:
| 2θ (°) | d_spacing | I/Imax | index |
| --- | --- | --- | --- |
| 19.0 | 4.678 | 64 | 1 1 1 |
| 20.5 | 4.341 | 100 | 0 1 1 |
| 35.8 | 2.506 | 78 | 2 0 1 |
| 36.0 | 2.493 | 98 | 0 1 -2 |
| 36.3 | 2.477 | 75 | 0 2 -1 |
| 38.4 | 2.343 | 58 | 2 0 0 |
| 38.6 | 2.335 | 57 | 2 2 2 |
| 39.9 | 2.260 | 83 | 2 0 2 |
| 42.0 | 2.151 | 60 | 1 0 -2 |
| 45.1 | 2.009 | 69 | 2 1 3 |

a = 5.5527 Å, b = 6.4192 Å, c = 6.4796 Å
α = 74.18°, β = 64.70°, γ = 64.62°
Fractional positions:
Ca1 0.0036 0.2444 0.2494
Ca2 0.9964 0.7556 0.7506
Ga1 0.5000 0.0000 0.5000
Ge1 0.5000 0.5000 0.0000
Pd1 0.0025 0.6928 0.2997
Pd2 0.3286 0.9220 0.9201
Pd3 0.4965 0.3087 0.6986
Pd4 0.5035 0.6913 0.3014
Pd5 0.6714 0.0780 0.0799
Pd6 0.9975 0.3072 0.7003